Theoretical X-ray powder pattern
Compound: TaGePd6
Radiation: Cu Kα (weighted mean of Kα1 and Kα2)
Structure: a crystal structure in Alexandria, relaxed with GGA-PBE
Neutral-atom scattering factors, no anomalous dispersion.

Peak list (10 most intense, 2θ = 10–90°, in order of rising 2θ)
- 33.20 deg, rel. 28, (1 1 1)
- 35.75 deg, rel. 24, (0 2 0)
- 38.85 deg, rel. 100, (0 1 -2)
- 41.39 deg, rel. 14, (1 0 2)
- 41.48 deg, rel. 14, (2 1 0)
- 42.37 deg, rel. 16, (1 -2 1)
- 43.51 deg, rel. 36, (-1 1 2)
- 43.63 deg, rel. 60, (2 -1 1)
- 47.10 deg, rel. 23, (1 2 1)
- 66.97 deg, rel. 19, (2 1 -3)

Crystal structure
```
TaGePd6
1.0
5.043 0.000 0.000
-0.364 5.031 0.000
-0.367 -0.381 5.030
Ta Ge Pd
1 1 6
Direct
0.000 0.000 0.000
0.500 0.500 0.500
0.066 0.537 0.255
0.256 0.066 0.538
0.464 0.745 0.932
0.536 0.255 0.068
0.744 0.934 0.462
0.934 0.463 0.745
```